For Dy5Bi4, a crystal structure in Alexandria, relaxed with PBE gives the computed powder diffractogram in this record (λ = 1.5418 Å (Cu Kα)).

Crystal structure
Lattice parameters (Å, degrees): 7.606 7.606 7.606 99.73 99.73 131.44
Element x y z (fractional)
Dy 0.000 0.000 0.000
Dy 0.208 0.399 0.607
Dy 0.399 0.792 0.190
Dy 0.601 0.208 0.810
Dy 0.792 0.601 0.393
Bi 0.095 0.699 0.793
Bi 0.301 0.095 0.396
Bi 0.699 0.905 0.604
Bi 0.905 0.301 0.207

Main lines, by angle (10 to 90 degrees two-theta):
two_theta  I_rel
28.5  50
28.8  100
41.0  79
41.2  38
50.9  42
67.0  19
67.4  18
74.9  26

For SmY2Pd, a crystal structure in Alexandria, relaxed with PBE gives the computed powder diffractogram in this record (λ = 1.5418 Å (Cu Kα)).

Crystal structure
Lattice parameters (Å, degrees): 7.106 9.783 6.551 90.00 90.00 90.00
Element x y z (fractional)
Sm 0.021 0.250 0.135
Sm 0.479 0.750 0.635
Sm 0.521 0.250 0.365
Sm 0.979 0.750 0.865
Y 0.179 0.060 0.674
Y 0.179 0.440 0.674
Y 0.321 0.560 0.174
Y 0.321 0.940 0.174
Y 0.679 0.060 0.826
Y 0.679 0.440 0.826
Y 0.821 0.560 0.326
Y 0.821 0.940 0.326
Pd 0.113 0.750 0.436
Pd 0.387 0.250 0.936
Pd 0.613 0.750 0.064
Pd 0.887 0.250 0.564

Main lines, by angle (10 to 90 degrees two-theta):
two_theta  I_rel
18.1  28
30.0  53
30.6  48
31.1  57
31.4  100
33.2  35
34.1  41
47.4  27

For La5Nd4Sm3, a crystal structure in Alexandria, relaxed with PBE gives the computed powder diffractogram in this record (λ = 1.5418 Å (Cu Kα)).

Crystal structure
Lattice parameters (Å, degrees): 6.392 7.372 9.069 90.07 90.06 90.13
Element x y z (fractional)
La 0.000 0.000 0.000
La 0.332 0.500 0.334
La 0.500 0.251 0.000
La 0.500 0.749 0.000
La 0.668 0.500 0.666
Nd 0.166 0.751 0.666
Nd 0.335 0.000 0.335
Nd 0.665 0.000 0.665
Nd 0.834 0.249 0.334
Sm 0.000 0.500 0.000
Sm 0.167 0.250 0.666
Sm 0.833 0.750 0.334

Main lines, by angle (10 to 90 degrees two-theta):
two_theta  I_rel
29.6  100
29.7  33
34.3  68
49.3  32
49.5  16
58.5  15
58.6  29
58.7  14